The following is a computed X-ray powder pattern of ZnCu2Ru. It was derived from a GGA-PBE-relaxed structure, using Cu Kα.
Intensities are scaled so that the largest is 100.

Largest 10 diffraction maxima, low angle first, 2θ = 10–80°:
| d_spacing | 2θ/deg | Rel. int. |
| --- | --- | --- |
| 4.335 | 20.49 | 7 |
| 3.877 | 22.94 | 3 |
| 2.217 | 40.71 | 2 |
| 2.167 | 41.67 | 100 |
| 2.147 | 42.08 | 97 |
| 1.938 | 46.87 | 35 |
| 1.836 | 49.66 | 59 |
| 1.333 | 70.67 | 38 |
| 1.307 | 72.29 | 9 |
| 1.290 | 73.42 | 9 |

Crystal structure
a = 5.228 Å, b = 7.753 Å, c = 2.579 Å
α = 90.00°, β = 90.00°, γ = 90.00°
Space group Cmmm (No. 65)
Unique sites:
Zn 0.000 0.000 0.000 [2 per cell]
Cu 0.250 0.250 0.500 [4 per cell]
Ru 0.000 0.500 0.000 [2 per cell]


The following is a computed X-ray powder pattern of PmBIr. It was derived from a GGA-PBE-relaxed structure, using Cu Kα.
Intensities are scaled so that the largest is 100.

Largest 10 diffraction maxima, low angle first, 2θ = 10–80°:
| d_spacing | 2θ/deg | Rel. int. |
| --- | --- | --- |
| 6.567 | 13.48 | 9 |
| 2.762 | 32.41 | 100 |
| 2.456 | 36.60 | 22 |
| 2.437 | 36.88 | 50 |
| 2.121 | 42.64 | 14 |
| 1.819 | 50.16 | 12 |
| 1.677 | 54.75 | 14 |
| 1.519 | 60.98 | 11 |
| 1.462 | 63.64 | 17 |
| 1.381 | 67.87 | 10 |

Crystal structure
a = 4.273 Å, b = 3.637 Å, c = 6.616 Å
α = 90.00°, β = 96.99°, γ = 90.00°
Space group P2_1/m (No. 11)
Unique sites:
Pm 0.216 0.250 0.342 [2 per cell]
B 0.185 0.750 0.022 [2 per cell]
Ir 0.299 0.250 0.869 [2 per cell]